Structure and theoretical PXRD pattern of Pm3Nd8Ho (DFT lattice parameters and positions (GGA-PBE); Cu Kα, 1.54184 Å).
No peak broadening, texture or thermal motion is included.

a = 6.679 Å, b = 11.406 Å, c = 11.708 Å
α = 90.00°, β = 90.00°, γ = 90.00°
Space group Immm (No. 71)
Asymmetric unit:
1 Pm 0.000 0.000 0.000 (multiplicity 2)
2 Pm 0.000 0.500 0.244 (multiplicity 4)
3 Nd 0.000 0.164 0.251 (multiplicity 8)
4 Nd 0.243 0.259 0.000 (multiplicity 8)
5 Ho 0.000 0.000 0.500 (multiplicity 2)

The 6 most intense peaks (10 to 80 degrees two-theta), sorted by position:
2theta	d (Å)	I_rel	h k l
30.54	2.927	45	0 0 4
30.83	2.901	37	2 0 2
31.07	2.878	100	1 3 2
34.70	2.585	30	2 2 2
49.96	1.825	20	3 3 2
64.80	1.439	20	2 6 4